No. 1
Starting from a DFT-relaxed cell (GGA-PBE, Alexandria), the powder diffractogram of SrH16O10 was calculated for Cu Kα (λ = 1.5418 Å).
Lines closer than 0.1° are merged.

a = 6.3316 Å, b = 6.3210 Å, c = 11.1602 Å
α = 90.00°, β = 90.10°, γ = 90.00°
Space group P2/c (No. 13)
One atom of each set of equivalent atoms:
Sr (0.0000, 0.0031, 0.2500) (multiplicity 2)
H (0.0298, 0.4516, 0.6289) (multiplicity 4)
H (0.1418, 0.3158, 0.4670) (multiplicity 4)
H (0.2718, 0.3891, 0.6473) (multiplicity 4)
H (0.2807, 0.3935, 0.3547) (multiplicity 4)
H (0.3144, 0.1403, 0.0318) (multiplicity 4)
H (0.3887, 0.2782, 0.1452) (multiplicity 4)
H (0.3929, 0.2740, 0.8527) (multiplicity 4)
H (0.4532, 0.0310, 0.8709) (multiplicity 4)
O (0.1292, 0.3286, 0.6228) (multiplicity 4)
O (0.1381, 0.3307, 0.3776) (multiplicity 4)
O (0.3274, 0.1354, 0.1213) (multiplicity 4)
O (0.3309, 0.1312, 0.8765) (multiplicity 4)
O (0.4978, 0.4971, 0.6830) (multiplicity 4)

Main lines, in order of rising 2θ (2θ = 5–70°):
14.00 deg, rel. 521, (1 0 0)
15.88 deg, rel. 647, (0 0 2)
19.85 deg, rel. 343, (1 1 0)
21.23 deg, rel. 433, (1 0 -2)
25.52 deg, rel. 1000, (1 1 -2)
32.54 deg, rel. 521, (2 0 2)
32.65 deg, rel. 521, (1 2 1)
38.01 deg, rel. 437, (1 1 -4)
45.33 deg, rel. 510, (3 1 0)
45.67 deg, rel. 356, (2 1 4)

***

No. 2
Starting from a DFT-relaxed cell (GGA-PBE, Alexandria), the powder diffractogram of SrH16O10 was calculated for Cu Kα (λ = 1.5418 Å).
Lines closer than 0.1° are merged.

a = 6.2615 Å, b = 6.3664 Å, c = 11.9055 Å
α = 79.29°, β = 81.77°, γ = 89.48°
Space group P1 (No. 1)
One atom of each set of equivalent atoms:
Sr (0.0000, 0.0000, 0.0000) (multiplicity 1)
Sr (0.1085, 0.8244, 0.4829) (multiplicity 1)
H (0.0034, 0.4373, 0.8437) (multiplicity 1)
H (0.0340, 0.2320, 0.6076) (multiplicity 1)
H (0.0554, 0.2331, 0.2088) (multiplicity 1)
H (0.1120, 0.3188, 0.3593) (multiplicity 1)
H (0.1936, 0.4131, 0.6982) (multiplicity 1)
H (0.2296, 0.3469, 0.1008) (multiplicity 1)
H (0.2425, 0.4021, 0.8863) (multiplicity 1)
H (0.2915, 0.6269, 0.2774) (multiplicity 1)
H (0.3448, 0.6694, 0.0972) (multiplicity 1)
H (0.3511, 0.9108, 0.6992) (multiplicity 1)
H (0.3526, 0.3961, 0.5822) (multiplicity 1)
H (0.3648, 0.7343, 0.8885) (multiplicity 1)
H (0.3995, 0.8995, 0.1216) (multiplicity 1)
H (0.4180, 0.4715, 0.3724) (multiplicity 1)
H (0.4641, 0.0706, 0.5860) (multiplicity 1)
H (0.4710, 0.9630, 0.8526) (multiplicity 1)
H (0.5397, 0.1282, 0.3771) (multiplicity 1)
H (0.5586, 0.2304, 0.0862) (multiplicity 1)
H (0.5759, 0.0621, 0.2007) (multiplicity 1)
H (0.6065, 0.8912, 0.3557) (multiplicity 1)
H (0.6100, 0.7509, 0.5996) (multiplicity 1)
H (0.6522, 0.5298, 0.8659) (multiplicity 1)
H (0.6783, 0.5177, 0.5726) (multiplicity 1)
H (0.6923, 0.5768, 0.0790) (multiplicity 1)
H (0.7457, 0.5700, 0.3725) (multiplicity 1)
H (0.7807, 0.5929, 0.7331) (multiplicity 1)
H (0.7877, 0.8241, 0.8321) (multiplicity 1)
H (0.7968, 0.1863, 0.5822) (multiplicity 1)
H (0.8336, 0.0521, 0.7586) (multiplicity 1)
H (0.8485, 0.7099, 0.2557) (multiplicity 1)
H (0.8643, 0.2486, 0.3774) (multiplicity 1)
H (0.9243, 0.4997, 0.1046) (multiplicity 1)
O (0.0165, 0.1968, 0.3537) (multiplicity 1)
O (0.0795, 0.2759, 0.1221) (multiplicity 1)
O (0.1287, 0.3357, 0.8498) (multiplicity 1)
O (0.2046, 0.4490, 0.6121) (multiplicity 1)
O (0.2746, 0.5423, 0.3571) (multiplicity 1)
O (0.2779, 0.7938, 0.1318) (multiplicity 1)
O (0.3293, 0.8905, 0.8573) (multiplicity 1)
O (0.3922, 0.9230, 0.6142) (multiplicity 1)
O (0.4375, 0.5002, 0.9308) (multiplicity 1)
O (0.4553, 0.4659, 0.0545) (multiplicity 1)
O (0.4864, 0.9958, 0.3511) (multiplicity 1)
O (0.5867, 0.3041, 0.5417) (multiplicity 1)
O (0.6126, 0.0817, 0.1147) (multiplicity 1)
O (0.6259, 0.3419, 0.4111) (multiplicity 1)
O (0.7363, 0.6541, 0.5931) (multiplicity 1)
O (0.7738, 0.9806, 0.8393) (multiplicity 1)
O (0.8025, 0.5798, 0.8158) (multiplicity 1)
O (0.8194, 0.7162, 0.3385) (multiplicity 1)
O (0.8322, 0.6298, 0.0969) (multiplicity 1)
O (0.9286, 0.1124, 0.6127) (multiplicity 1)

Main lines, in order of rising 2θ (2θ = 5–70°):
14.16 deg, rel. 351, (0 1 0)
14.29 deg, rel. 480, (1 0 0)
15.31 deg, rel. 1000, (0 0 2)
21.21 deg, rel. 317, (-1 1 1)
21.64 deg, rel. 300, (1 -1 1)
22.50 deg, rel. 674, (1 1 2)
28.32 deg, rel. 389, (1 1 -2)
30.95 deg, rel. 537, (0 2 -1)
31.79 deg, rel. 319, (1 -2 0)
32.94 deg, rel. 378, (1 1 4)

***

No. 3
Starting from a DFT-relaxed cell (GGA-PBE, Alexandria), the powder diffractogram of SrH4O6 was calculated for Cu Kα (λ = 1.5418 Å).
Lines closer than 0.1° are merged.

a = 8.1157 Å, b = 6.4538 Å, c = 10.1820 Å
α = 90.00°, β = 104.83°, γ = 90.00°
Space group Cc (No. 9)
One atom of each set of equivalent atoms:
Sr (0.0000, 0.0716, 0.0000) (multiplicity 4)
H (0.2904, 0.4824, 0.7090) (multiplicity 4)
H (0.3390, 0.1078, 0.9553) (multiplicity 4)
H (0.3867, 0.1677, 0.1080) (multiplicity 4)
H (0.4201, 0.2884, 0.7469) (multiplicity 4)
O (0.1046, 0.4001, 0.1576) (multiplicity 4)
O (0.2251, 0.2140, 0.4809) (multiplicity 4)
O (0.3149, 0.1290, 0.3971) (multiplicity 4)
O (0.3310, 0.2272, 0.0179) (multiplicity 4)
O (0.4139, 0.4432, 0.7459) (multiplicity 4)
O (0.4938, 0.0391, 0.7268) (multiplicity 4)

Main lines, in order of rising 2θ (2θ = 5–70°):
17.80 deg, rel. 893, (1 1 0)
18.02 deg, rel. 915, (0 0 2)
18.60 deg, rel. 640, (1 1 -1)
22.67 deg, rel. 529, (2 0 0)
23.24 deg, rel. 704, (1 1 -2)
27.46 deg, rel. 1000, (1 1 2)
36.03 deg, rel. 546, (2 2 0)
36.51 deg, rel. 359, (0 0 4)
37.26 deg, rel. 374, (3 1 -2)
38.69 deg, rel. 447, (2 2 1)